Theoretical PXRD pattern of K3La2HfS6 for copper Kα, from DFT lattice parameters and positions (PBE).
Lines closer than 0.1° are merged.

Top 10 peaks for 10 to 80 degrees two-theta, in order of rising 2θ:
- 11.98°, 7.385 Å, rel. 71.8
- 24.10°, 3.693 Å, rel. 16.0
- 25.40°, 3.507 Å, rel. 24.4
- 26.35°, 3.382 Å, rel. 34.5
- 29.89°, 2.990 Å, rel. 100.0
- 38.08°, 2.363 Å, rel. 18.5
- 41.34°, 2.184 Å, rel. 35.6
- 44.17°, 2.050 Å, rel. 32.5
- 45.93°, 1.976 Å, rel. 15.7
- 72.45°, 1.305 Å, rel. 13.0

Cell and atoms:
abc: 7.1031 7.1031 7.7622
angles: 98.85 98.85 120.01
Element x y z (fractional)
K 0.0000 0.0000 0.0000
K 0.3304 0.6696 0.0000
K 0.6696 0.3304 0.0000
La 0.1665 0.8335 0.5000
La 0.8335 0.1665 0.5000
Hf 0.5000 0.5000 0.5000
S 0.1284 0.4315 0.2958
S 0.2657 0.2657 0.7035
S 0.4315 0.1284 0.2958
S 0.5685 0.8716 0.7042
S 0.7343 0.7343 0.2965
S 0.8716 0.5685 0.7042

Theoretical PXRD pattern of AlAsCl for copper Kα, from DFT lattice parameters and positions (PBE).
Lines closer than 0.1° are merged.

Top 10 peaks for 10 to 80 degrees two-theta, in order of rising 2θ:
- 10.99°, 8.054 Å, rel. 100.0
- 15.96°, 5.553 Å, rel. 41.3
- 18.34°, 4.837 Å, rel. 33.2
- 25.80°, 3.453 Å, rel. 47.8
- 26.08°, 3.416 Å, rel. 68.8
- 28.83°, 3.096 Å, rel. 46.8
- 29.14°, 3.064 Å, rel. 57.4
- 29.95°, 2.983 Å, rel. 47.3
- 38.86°, 2.317 Å, rel. 29.2
- 43.67°, 2.073 Å, rel. 22.8

Cell and atoms:
abc: 3.9646 5.6353 8.2092
angles: 95.27 99.04 97.28
Element x y z (fractional)
Al 0.1663 0.4433 0.1741
Al 0.8337 0.5567 0.8259
As 0.3078 0.3144 0.8922
As 0.6922 0.6856 0.1078
Cl 0.2150 0.2075 0.3605
Cl 0.7850 0.7925 0.6395